# 1
Starting from a DFT-relaxed cell (PBE, Alexandria), the X-ray diffraction stick pattern of Tb5In4Hg was computed for Cu Ka.
Peak positions follow from Bragg's law for the DFT cell and can differ from measured ones.

Structure:
a b c (Å): 3.7570 3.7570 18.9520
angles (deg): 90.00 90.00 90.00
Sites, in units of the cell vectors:
Tb (0.0000, 0.0000, 0.0000)
Tb (0.0000, 0.0000, 0.2009)
Tb (0.0000, 0.0000, 0.4030)
Tb (0.0000, 0.0000, 0.5970)
Tb (0.0000, 0.0000, 0.7991)
In (0.5000, 0.5000, 0.1003)
In (0.5000, 0.5000, 0.3023)
In (0.5000, 0.5000, 0.6977)
In (0.5000, 0.5000, 0.8997)
Hg (0.5000, 0.5000, 0.5000)

The 6 most intense peaks (10 to 90 degrees two-theta), by intensity:
2theta	d/Å	I_rel
33.6	2.668	100
33.7	2.657	50
60.3	1.536	37
60.0	1.543	19
48.5	1.878	18
80.9	1.189	16

---

# 2
Starting from a DFT-relaxed cell (PBE, Alexandria), the X-ray diffraction stick pattern of TbIn4Hg6 was computed for Cu Ka.
Peak positions follow from Bragg's law for the DFT cell and can differ from measured ones.

Structure:
a b c (Å): 3.3841 10.5787 10.5787
angles (deg): 51.29 90.00 90.00
Sites, in units of the cell vectors:
Tb (0.0000, 0.0000, 0.0000)
In (0.0000, 0.6397, 0.6397)
In (0.5000, 0.1333, 0.6665)
In (0.5000, 0.1590, 0.1590)
In (0.5000, 0.6665, 0.1333)
Hg (0.0000, 0.0207, 0.4625)
Hg (0.0000, 0.3769, 0.3769)
Hg (0.0000, 0.4625, 0.0207)
Hg (0.5000, 0.3360, 0.7862)
Hg (0.5000, 0.7862, 0.3360)
Hg (0.5000, 0.7881, 0.7881)

The 6 most intense peaks (10 to 90 degrees two-theta), by intensity:
2theta	d/Å	I_rel
34.3	2.615	100
31.5	2.840	28
39.4	2.289	23
38.1	2.364	21
46.6	1.949	21
25.3	3.521	20

---

# 3
Starting from a DFT-relaxed cell (PBE, Alexandria), the X-ray diffraction stick pattern of TbIn12Hg6 was computed for Cu Ka.
Peak positions follow from Bragg's law for the DFT cell and can differ from measured ones.

Structure:
a b c (Å): 8.5046 8.5046 8.5046
angles (deg): 106.95 106.95 106.95
Sites, in units of the cell vectors:
Tb (0.0000, 0.0000, 0.0000)
In (0.0407, 0.2852, 0.8035)
In (0.1858, 0.5193, 0.6228)
In (0.1965, 0.9593, 0.7148)
In (0.2852, 0.8035, 0.0407)
In (0.3772, 0.8142, 0.4807)
In (0.4807, 0.3772, 0.8142)
In (0.5193, 0.6228, 0.1858)
In (0.6228, 0.1858, 0.5193)
In (0.7148, 0.1965, 0.9593)
In (0.8035, 0.0407, 0.2852)
In (0.8142, 0.4807, 0.3772)
In (0.9593, 0.7148, 0.1965)
Hg (0.1460, 0.4211, 0.2219)
Hg (0.2219, 0.1460, 0.4211)
Hg (0.4211, 0.2219, 0.1460)
Hg (0.5789, 0.7781, 0.8540)
Hg (0.7781, 0.8540, 0.5789)
Hg (0.8540, 0.5789, 0.7781)

The 6 most intense peaks (10 to 90 degrees two-theta), by intensity:
2theta	d/Å	I_rel
31.7	2.826	100
34.3	2.611	99
35.7	2.513	66
33.2	2.702	61
36.4	2.472	51
31.1	2.876	50

---

# 4
Starting from a DFT-relaxed cell (PBE, Alexandria), the X-ray diffraction stick pattern of Tb3In3Hg was computed for Cu Ka.
Peak positions follow from Bragg's law for the DFT cell and can differ from measured ones.

Structure:
a b c (Å): 6.1624 6.1624 15.0769
angles (deg): 107.02 107.02 44.69
Sites, in units of the cell vectors:
Tb (0.0282, 0.0282, 0.3768)
Tb (0.1029, 0.1029, 0.9240)
Tb (0.2290, 0.2290, 0.2213)
Tb (0.7710, 0.7710, 0.7787)
Tb (0.8971, 0.8971, 0.0760)
Tb (0.9718, 0.9718, 0.6232)
In (0.3655, 0.3655, 0.4601)
In (0.3816, 0.3816, 0.9259)
In (0.4917, 0.4917, 0.7738)
In (0.5083, 0.5083, 0.2262)
In (0.6184, 0.6184, 0.0741)
In (0.6345, 0.6345, 0.5399)
Hg (0.2599, 0.2599, 0.6243)
Hg (0.7401, 0.7401, 0.3757)

The 6 most intense peaks (10 to 90 degrees two-theta), by intensity:
2theta	d/Å	I_rel
36.7	2.450	100
30.4	2.937	93
29.7	3.010	81
38.4	2.343	68
60.1	1.539	45
31.5	2.844	42

---

# 5
Starting from a DFT-relaxed cell (PBE, Alexandria), the X-ray diffraction stick pattern of Tb2InHg3 was computed for Cu Ka.
Peak positions follow from Bragg's law for the DFT cell and can differ from measured ones.

Structure:
a b c (Å): 9.9060 9.2556 6.0747
angles (deg): 77.45 65.78 36.77
Sites, in units of the cell vectors:
Tb (0.2460, 0.7540, 0.7540)
Tb (0.2500, 0.2500, 0.2500)
Tb (0.7500, 0.7500, 0.7500)
Tb (0.7540, 0.2460, 0.2460)
In (0.3330, 0.3330, 0.6670)
In (0.6670, 0.6670, 0.3330)
Hg (0.1667, 0.1667, 0.8333)
Hg (0.1681, 0.6651, 0.3349)
Hg (0.3349, 0.8319, 0.1681)
Hg (0.6651, 0.1681, 0.8319)
Hg (0.8319, 0.3349, 0.6651)
Hg (0.8333, 0.8333, 0.1667)

The 6 most intense peaks (10 to 90 degrees two-theta), by intensity:
2theta	d/Å	I_rel
33.0	2.711	100
36.3	2.476	61
65.3	1.428	39
36.2	2.484	31
49.8	1.831	21
63.2	1.471	21

---

# 6
Starting from a DFT-relaxed cell (PBE, Alexandria), the X-ray diffraction stick pattern of TbIn2Hg4 was computed for Cu Ka.
Peak positions follow from Bragg's law for the DFT cell and can differ from measured ones.

Structure:
a b c (Å): 5.0347 5.0347 7.2128
angles (deg): 90.00 90.00 90.00
Sites, in units of the cell vectors:
Tb (0.0000, 0.0000, 0.0000)
In (0.0000, 0.0000, 0.5000)
In (0.5000, 0.5000, 0.0000)
Hg (0.0000, 0.5000, 0.2692)
Hg (0.0000, 0.5000, 0.7308)
Hg (0.5000, 0.0000, 0.2692)
Hg (0.5000, 0.0000, 0.7308)

The 6 most intense peaks (10 to 90 degrees two-theta), by intensity:
2theta	d/Å	I_rel
35.4	2.534	100
35.7	2.517	51
63.9	1.456	36
51.3	1.780	18
63.5	1.466	16
25.0	3.560	14

---

# 7
Starting from a DFT-relaxed cell (PBE, Alexandria), the X-ray diffraction stick pattern of Tb6In3Hg was computed for Cu Ka.
Peak positions follow from Bragg's law for the DFT cell and can differ from measured ones.

Structure:
a b c (Å): 9.3661 5.3354 11.6740
angles (deg): 90.00 107.86 90.00
Sites, in units of the cell vectors:
Tb (0.0391, 0.2500, 0.4127)
Tb (0.1615, 0.7500, 0.1753)
Tb (0.2572, 0.2500, 0.0005)
Tb (0.3432, 0.7500, 0.8073)
Tb (0.3676, 0.2500, 0.3380)
Tb (0.4041, 0.2500, 0.6214)
Tb (0.5959, 0.7500, 0.3786)
Tb (0.6324, 0.7500, 0.6620)
Tb (0.6568, 0.2500, 0.1927)
Tb (0.7428, 0.7500, 0.9995)
Tb (0.8385, 0.2500, 0.8247)
Tb (0.9609, 0.7500, 0.5873)
In (0.0296, 0.7500, 0.8817)
In (0.1221, 0.2500, 0.7144)
In (0.2746, 0.7500, 0.4724)
In (0.7254, 0.2500, 0.5276)
In (0.8779, 0.7500, 0.2856)
In (0.9704, 0.2500, 0.1183)
Hg (0.4539, 0.7500, 0.1045)
Hg (0.5461, 0.2500, 0.8955)

The 6 most intense peaks (10 to 90 degrees two-theta), by intensity:
2theta	d/Å	I_rel
33.4	2.680	100
33.3	2.693	93
33.6	2.668	55
32.3	2.769	42
47.3	1.921	29
60.0	1.543	19

---

# 8
Starting from a DFT-relaxed cell (PBE, Alexandria), the X-ray diffraction stick pattern of Tb2In3Hg3 was computed for Cu Ka.
Peak positions follow from Bragg's law for the DFT cell and can differ from measured ones.

Structure:
a b c (Å): 4.6019 4.6386 9.1895
angles (deg): 90.00 90.00 90.00
Sites, in units of the cell vectors:
Tb (0.0000, 0.0000, 0.2483)
Tb (0.0000, 0.0000, 0.7517)
In (0.0000, 0.5000, 0.5000)
In (0.5000, 0.0000, 0.0000)
In (0.5000, 0.0000, 0.5000)
Hg (0.0000, 0.5000, 0.0000)
Hg (0.5000, 0.5000, 0.2536)
Hg (0.5000, 0.5000, 0.7464)

The 6 most intense peaks (10 to 90 degrees two-theta), by intensity:
2theta	d/Å	I_rel
33.7	2.663	100
39.2	2.299	33
67.5	1.388	27
56.3	1.633	23
38.8	2.319	17
67.0	1.396	14

---

# 9
Starting from a DFT-relaxed cell (PBE, Alexandria), the X-ray diffraction stick pattern of Tb3InHg12 was computed for Cu Ka.
Peak positions follow from Bragg's law for the DFT cell and can differ from measured ones.

Structure:
a b c (Å): 4.6298 4.6298 18.4716
angles (deg): 90.00 90.00 90.00
Sites, in units of the cell vectors:
Tb (0.0000, 0.0000, 0.0000)
Tb (0.0000, 0.0000, 0.2568)
Tb (0.0000, 0.0000, 0.7432)
In (0.0000, 0.0000, 0.5000)
Hg (0.0000, 0.5000, 0.1247)
Hg (0.0000, 0.5000, 0.3748)
Hg (0.0000, 0.5000, 0.6252)
Hg (0.0000, 0.5000, 0.8753)
Hg (0.5000, 0.0000, 0.1247)
Hg (0.5000, 0.0000, 0.3748)
Hg (0.5000, 0.0000, 0.6252)
Hg (0.5000, 0.0000, 0.8753)
Hg (0.5000, 0.5000, 0.0000)
Hg (0.5000, 0.5000, 0.2455)
Hg (0.5000, 0.5000, 0.5000)
Hg (0.5000, 0.5000, 0.7545)

The 6 most intense peaks (10 to 90 degrees two-theta), by intensity:
2theta	d/Å	I_rel
33.6	2.671	100
56.2	1.635	35
38.9	2.315	34
67.1	1.396	28
39.0	2.309	16
67.2	1.393	13

---

# 10
Starting from a DFT-relaxed cell (PBE, Alexandria), the X-ray diffraction stick pattern of TbIn6Hg12 was computed for Cu Ka.
Peak positions follow from Bragg's law for the DFT cell and can differ from measured ones.

Structure:
a b c (Å): 7.9881 7.9881 7.9881
angles (deg): 92.18 92.18 92.18
Sites, in units of the cell vectors:
Tb (0.0000, 0.0000, 0.0000)
In (0.1439, 0.7162, 0.2571)
In (0.2571, 0.1439, 0.7162)
In (0.2838, 0.7429, 0.8561)
In (0.7162, 0.2571, 0.1439)
In (0.7429, 0.8561, 0.2838)
In (0.8561, 0.2838, 0.7429)
Hg (0.0476, 0.1524, 0.3741)
Hg (0.1524, 0.3741, 0.0476)
Hg (0.1914, 0.4844, 0.5529)
Hg (0.3741, 0.0476, 0.1524)
Hg (0.4471, 0.8086, 0.5156)
Hg (0.4844, 0.5529, 0.1914)
Hg (0.5156, 0.4471, 0.8086)
Hg (0.5529, 0.1914, 0.4844)
Hg (0.6259, 0.9524, 0.8476)
Hg (0.8086, 0.5156, 0.4471)
Hg (0.8476, 0.6259, 0.9524)
Hg (0.9524, 0.8476, 0.6259)

The 6 most intense peaks (10 to 90 degrees two-theta), by intensity:
2theta	d/Å	I_rel
33.1	2.707	100
35.2	2.553	79
33.7	2.659	71
34.9	2.570	65
36.0	2.493	57
24.6	3.625	32

---

# 11
Starting from a DFT-relaxed cell (PBE, Alexandria), the X-ray diffraction stick pattern of Tb4TlIn2Hg was computed for Cu Ka.
Peak positions follow from Bragg's law for the DFT cell and can differ from measured ones.

Structure:
a b c (Å): 9.2480 9.2480 9.2480
angles (deg): 33.59 33.59 33.59
Sites, in units of the cell vectors:
Tb (0.1236, 0.1236, 0.1236)
Tb (0.3736, 0.3736, 0.3736)
Tb (0.6264, 0.6264, 0.6264)
Tb (0.8764, 0.8764, 0.8764)
Tl (0.5000, 0.5000, 0.5000)
In (0.2505, 0.2505, 0.2505)
In (0.7495, 0.7495, 0.7495)
Hg (0.0000, 0.0000, 0.0000)

The 6 most intense peaks (10 to 90 degrees two-theta), by intensity:
2theta	d/Å	I_rel
33.6	2.671	100
60.0	1.542	38
48.2	1.889	18
80.4	1.195	16
70.5	1.336	12
20.4	4.362	4

---

# 12
Starting from a DFT-relaxed cell (PBE, Alexandria), the X-ray diffraction stick pattern of In6Hg8Te was computed for Cu Ka.
Peak positions follow from Bragg's law for the DFT cell and can differ from measured ones.

Structure:
a b c (Å): 7.0474 7.6443 9.0195
angles (deg): 74.68 75.09 68.54
Sites, in units of the cell vectors:
In (0.0836, 0.1811, 0.4151)
In (0.2532, 0.4494, 0.9278)
In (0.4001, 0.9447, 0.7036)
In (0.5999, 0.0553, 0.2964)
In (0.7468, 0.5506, 0.0722)
In (0.9164, 0.8189, 0.5849)
Hg (0.0147, 0.1003, 0.1185)
Hg (0.1254, 0.3650, 0.6673)
Hg (0.3382, 0.4851, 0.2328)
Hg (0.3803, 0.7207, 0.4426)
Hg (0.6197, 0.2793, 0.5574)
Hg (0.6618, 0.5149, 0.7672)
Hg (0.8746, 0.6350, 0.3327)
Hg (0.9853, 0.8997, 0.8815)
Te (0.5000, 0.0000, 0.0000)

The 6 most intense peaks (10 to 90 degrees two-theta), by intensity:
2theta	d/Å	I_rel
30.3	2.952	100
31.1	2.873	90
29.4	3.039	59
34.1	2.627	48
40.7	2.217	45
37.0	2.428	36